[1]
Theoretical powder X-ray diffraction pattern
Compound: Ba2Li2Hf
Radiation: Cu Kα, 1.54184 Å
Structure: DFT lattice parameters and positions (GGA-PBE)
Neutral-atom scattering factors, no anomalous dispersion.

Atomic structure:
```
data_Ba2Li2Hf
_chemical_formula_sum 'Ba4 Li4 Hf2'
_cell_length_a 6.2969
_cell_length_b 6.2969
_cell_length_c 8.6850
_cell_angle_alpha 90.00
_cell_angle_beta 90.00
_cell_angle_gamma 90.00
_symmetry_space_group_name_H-M 'I 4/m m m'
_symmetry_Int_Tables_number 139
_symmetry_space_group_name_Hall '-I 4 2'
loop_
_atom_site_label
_atom_site_fract_x
_atom_site_fract_y
_atom_site_fract_z
Ba1 0.0000 0.5000 0.2500
Li1 0.0000 0.0000 0.1371
Hf1 0.0000 0.0000 0.5000
```

The 10 most intense peaks (2θ from 10° to 90°), by angle:
d [Å]  Rel. int.  index
5.098  49  1 0 1
3.148  55  2 0 0
3.109  100  1 1 2
2.679  20  2 1 1
2.630  11  1 0 3
2.226  21  2 2 0
1.810  42  3 1 2
1.787  19  2 0 4
1.554  12  2 2 4
1.188  11  5 1 2

***

[2]
Theoretical powder X-ray diffraction pattern
Compound: BaHfMg14
Radiation: Cu Kα, 1.54184 Å
Structure: DFT lattice parameters and positions (GGA-PBE)
Neutral-atom scattering factors, no anomalous dispersion.

Atomic structure:
```
data_BaHfMg14
_chemical_formula_sum 'Ba1 Hf1 Mg14'
_cell_length_a 6.6399
_cell_length_b 6.6399
_cell_length_c 10.4294
_cell_angle_alpha 90.00
_cell_angle_beta 90.00
_cell_angle_gamma 120.00
_symmetry_space_group_name_H-M 'P -6 m 2'
_symmetry_Int_Tables_number 187
_symmetry_space_group_name_Hall 'P -6 2'
loop_
_atom_site_label
_atom_site_fract_x
_atom_site_fract_y
_atom_site_fract_z
Ba1 0.0000 0.0000 0.0000
Hf1 0.0000 0.0000 0.5000
Mg1 0.0175 0.5087 0.0000
Mg2 0.1697 0.3394 0.2674
Mg3 0.5021 0.0043 0.5000
Mg4 0.6667 0.3333 0.2417
```

The 10 most intense peaks (2θ from 10° to 90°), by angle:
d [Å]  Rel. int.  index
5.750  69  1 0 0
5.215  20  0 0 2
3.863  59  1 0 2
3.320  20  1 1 0
2.875  33  2 0 0
2.801  25  1 1 2
2.607  23  0 0 4
2.518  100  2 0 2
1.931  21  2 0 4
1.400  19  2 2 4

***

[3]
Theoretical powder X-ray diffraction pattern
Compound: BaHfMg14
Radiation: Cu Kα, 1.54184 Å
Structure: DFT lattice parameters and positions (GGA-PBE)
Neutral-atom scattering factors, no anomalous dispersion.

Atomic structure:
```
data_BaHfMg14
_chemical_formula_sum 'Ba2 Hf2 Mg28'
_cell_length_a 10.5960
_cell_length_b 6.4825
_cell_length_c 11.5333
_cell_angle_alpha 90.00
_cell_angle_beta 90.00
_cell_angle_gamma 90.00
_symmetry_space_group_name_H-M 'A m m 2'
_symmetry_Int_Tables_number 38
loop_
_symmetry_equiv_pos_as_xyz
'x,y,z'
'-x,-y,z'
'-x,y,z'
'x,-y,z'
'x,y+1/2,z+1/2'
'-x,-y+1/2,z+1/2'
'-x,y+1/2,z+1/2'
'x,-y+1/2,z+1/2'
loop_
_atom_site_label
_atom_site_fract_x
_atom_site_fract_y
_atom_site_fract_z
Ba1 0.0000 0.0000 0.0000
Hf1 0.0000 0.0000 0.4607
Mg1 0.0000 0.2369 0.7368
Mg2 0.2395 0.0000 0.6317
Mg3 0.2568 0.2456 0.3889
Mg4 0.2701 0.0000 0.1521
Mg5 0.5000 0.0000 0.4737
Mg6 0.5000 0.0000 0.9769
Mg7 0.5000 0.2415 0.7258
```

The 10 most intense peaks (2θ from 10° to 90°), by angle:
d [Å]  Rel. int.  index
5.767  36  0 0 2
5.298  33  2 0 0
5.065  55  1 0 2
3.901  30  2 0 2
2.826  35  0 2 2
2.730  25  1 2 2
2.649  39  4 0 0
2.533  51  2 0 4
2.493  100  2 2 2
1.497  26  6 2 2

***

[4]
Theoretical powder X-ray diffraction pattern
Compound: Ba3HfMg2O8
Radiation: Cu Kα, 1.54184 Å
Structure: DFT lattice parameters and positions (GGA-PBE)
Neutral-atom scattering factors, no anomalous dispersion.

Atomic structure:
```
data_Ba3HfMg2O8
_chemical_formula_sum 'Ba3 Hf1 Mg2 O8'
_cell_length_a 5.9420
_cell_length_b 5.9420
_cell_length_c 7.6967
_cell_angle_alpha 90.00
_cell_angle_beta 90.00
_cell_angle_gamma 120.00
_symmetry_space_group_name_H-M 'P -3 m 1'
_symmetry_Int_Tables_number 164
_symmetry_space_group_name_Hall '-P 3 2"'
loop_
_atom_site_label
_atom_site_fract_x
_atom_site_fract_y
_atom_site_fract_z
Ba1 0.0000 0.0000 0.0000
Ba2 0.3333 0.6667 0.6465
Hf1 0.0000 0.0000 0.5000
Mg1 0.3333 0.6667 0.2248
O1 0.1618 0.3237 0.3364
O2 0.3333 0.6667 0.9757
```

The 10 most intense peaks (2θ from 10° to 90°), by angle:
d [Å]  Rel. int.  index
7.697  37  0 0 1
5.146  23  1 0 0
4.278  17  1 0 1
3.082  88  0 1 2
2.971  100  1 1 0
2.139  46  2 0 2
1.802  19  1 0 4
1.736  35  1 2 2
1.715  20  3 0 0
1.486  17  2 2 0

***

[5]
Theoretical powder X-ray diffraction pattern
Compound: BaHf2Mn
Radiation: Cu Kα, 1.54184 Å
Structure: DFT lattice parameters and positions (GGA-PBE)
Neutral-atom scattering factors, no anomalous dispersion.

Atomic structure:
a b c (Å): 10.3331 10.3331 10.3331
angles (deg): 90.00 90.00 90.00
Space group Fd-3m (No. 227, origin choice 2)
Inequivalent atoms, fractional coordinates:
Ba (0.1250, 0.1250, 0.1250) x8
Hf (0.0000, 0.0000, 0.5000) x16
Mn (0.1250, 0.1250, 0.6250) x8

The 10 most intense peaks (2θ from 10° to 90°), by angle:
d [Å]  Rel. int.  index
5.966  46  1 1 1
3.653  52  2 2 0
3.116  100  3 1 1
2.983  70  2 2 2
2.109  22  4 2 2
1.989  38  5 1 1
1.827  60  4 4 0
1.576  14  5 3 3
1.558  31  6 2 2
1.345  25  7 3 1